Diffraction record for NdY7Sc2. The powder diffraction line list is theoretical, not measured: it uses a cell relaxed with GGA-PBE and Cu Ka.

Largest 12 diffraction maxima, low angle first, 2θ = 15–90°:
2θ/deg, intensity, hkl
31.1, 100.0, 2 0 1
36.1, 49.8, 2 2 0
51.9, 17.0, 3 0 -1
52.0, 16.9, 1 4 1
61.7, 9.9, 3 -2 0
61.8, 19.7, 4 2 1
61.9, 9.9, 3 4 2
64.8, 5.7, 4 0 2
64.9, 5.7, 2 4 4
84.9, 7.9, 1 6 0
85.0, 5.2, 2 6 3
87.7, 9.8, 3 6 1

Structure:
Unit cell a=6.100 b=7.041 c=7.866 alpha=77.20 beta=75.01 gamma=73.33
Positions (direct):
1 Nd 0.000 0.000 0.000
2 Y 0.000 0.500 0.000
3 Y 0.199 0.299 0.598
4 Y 0.399 0.098 0.205
5 Y 0.403 0.598 0.207
6 Y 0.597 0.402 0.793
7 Y 0.601 0.902 0.795
8 Y 0.801 0.701 0.402
9 Sc 0.195 0.803 0.600
10 Sc 0.805 0.197 0.400